Computed powder XRD pattern of LiFe8O12F4 for Cu Kα, from a crystal structure in the Materials Project, relaxed with GGA+U.
No peak broadening, texture or thermal motion is included.

Peak list (10 most intense, 2θ = 15–90°, sorted by position)
Position (°2θ)  intensity  hkl
23.55  100  0 0 2
28.18  86  0 2 0
34.82  40  2 1 0
35.15  41  2 1 -2
48.88  17  2 1 2
49.64  22  2 1 -4
54.28  22  2 3 0
54.51  22  2 3 -2
61.38  14  4 0 -2
65.76  15  2 3 -4

Atomic structure:
abc: 6.0426 6.3332 8.0913
angles: 90.00 111.00 90.00
Fractional positions:
Li1 0.0000 0.0000 0.0000
Fe1 0.0601 0.0000 0.7067
Fe2 0.1634 0.0000 0.3409
Fe3 0.3485 0.5000 0.7744
Fe4 0.3544 0.5000 0.2663
Fe5 0.5869 0.0000 0.7837
Fe6 0.6206 0.0000 0.2760
Fe7 0.8443 0.5000 0.7818
Fe8 0.8946 0.5000 0.3546
O1 0.0142 0.5000 0.6154
O2 0.1193 0.3058 0.3042
O3 0.1193 0.6942 0.3042
O4 0.2932 0.0000 0.1614
O5 0.3339 0.1942 0.7687
O6 0.3339 0.8058 0.7687
O7 0.6214 0.3080 0.2930
O8 0.6214 0.6920 0.2930
O9 0.6664 0.5000 0.9277
O10 0.8608 0.1891 0.7937
O11 0.8608 0.8109 0.7937
O12 0.9391 0.0000 0.4553
F1 0.2035 0.5000 0.9876
F2 0.4903 0.0000 0.5114
F3 0.5100 0.5000 0.5826
F4 0.7423 0.0000 0.0724